Theoretical X-ray powder pattern of Pa2MnFeO8 for a wavelength of 1.5418 Å, from a GGA+U-relaxed structure.

Structure:
Unit cell a=5.236 b=5.236 c=10.956 alpha=90.00 beta=90.00 gamma=90.00
Space group I-4 (No. 82)
Unique sites:
Pa (0.000, 0.000, 0.000) [2 per cell]
Pa (0.000, 0.500, 0.250) [2 per cell]
Mn (0.000, 0.000, 0.500) [2 per cell]
Fe (0.000, 0.500, 0.750) [2 per cell]
O (0.180, 0.721, 0.421) [8 per cell]
O (0.182, 0.228, 0.830) [8 per cell]

Peak list (10 most intense, 10 to 90 degrees two-theta, sorted by position)
| 2theta | Rel. int. | (hkl) |
| --- | --- | --- |
| 18.78 | 501 | 1 0 1 |
| 29.11 | 1000 | 1 1 2 |
| 32.70 | 153 | 0 0 4 |
| 34.25 | 219 | 2 0 0 |
| 39.35 | 172 | 1 2 1 |
| 46.05 | 128 | 2 1 3 |
| 48.08 | 295 | 2 0 4 |
| 49.22 | 153 | 2 2 0 |
| 56.17 | 167 | 1 1 6 |
| 58.21 | 303 | 3 1 2 |